The following is a simulated powder diffractogram of CaGeO3. It was derived from a DFT-relaxed cell (PBE, the Materials Project), using Cu Kα, 1.54184 Å.
Neutral-atom scattering factors, no anomalous dispersion.

Largest 12 diffraction maxima, most intense first, 10 to 80 degrees two-theta:
28.8 deg, rel. 100, (0 2 1)
25.7 deg, rel. 28, (2 0 -1)
27.6 deg, rel. 26, (2 0 1)
34.6 deg, rel. 25, (2 0 2)
17.1 deg, rel. 21, (1 0 1)
47.7 deg, rel. 20, (0 4 -1)
24.2 deg, rel. 18, (2 0 0)
22.3 deg, rel. 15, (0 0 2)
26.7 deg, rel. 12, (1 -2 0)
34.8 deg, rel. 11, (2 2 0)
26.7 deg, rel. 11, (1 2 -1)
36.9 deg, rel. 10, (-2 2 1)

Cell and atoms:
Cell lengths 7.382, 7.633, 8.250 Å; angles 103.50, 95.01, 90.14 degrees
Space group P-1 (No. 2)
One atom of each set of equivalent atoms:
Ca 0.031 0.253 0.010 [2 per cell]
Ca 0.258 0.927 0.705 [2 per cell]
Ca 0.261 0.427 0.709 [2 per cell]
Ge 0.222 0.555 0.323 [2 per cell]
Ge 0.224 0.107 0.319 [2 per cell]
Ge 0.445 0.775 0.097 [2 per cell]
O 0.026 0.024 0.189 [2 per cell]
O 0.026 0.574 0.193 [2 per cell]
O 0.228 0.129 0.532 [2 per cell]
O 0.228 0.636 0.538 [2 per cell]
O 0.257 0.319 0.266 [2 per cell]
O 0.288 0.727 0.922 [2 per cell]
O 0.318 0.227 0.900 [2 per cell]
O 0.420 0.629 0.240 [2 per cell]
O 0.421 0.998 0.230 [2 per cell]